# MgMn2Fe4O8
Calculated powder XRD pattern, CuKα. Input: DFT lattice parameters and positions (GGA+U).

Principal peaks in the range 2θ = 15–90°, by angle:
d/Å  I/Imax  (hkl)
2.750  48  1 1 0
2.714  75  0 0 2
2.583  42  2 0 -1
2.557  100  1 1 -2
2.506  42  2 -2 1
2.346  47  0 2 0
2.191  62  2 0 -2
2.071  69  2 -2 2
1.867  51  0 2 1
1.703  45  -2 2 2

Atomic structure:
```
data_MgMn2Fe4O8
_chemical_formula_sum 'Mg1 Mn2 Fe4 O8'
_cell_length_a 6.020
_cell_length_b 6.046
_cell_length_c 6.103
_cell_angle_alpha 111.44
_cell_angle_beta 93.44
_cell_angle_gamma 119.41
_space_group_name_H-M_alt 'P -1'
_space_group_IT_number 2
loop_
_space_group_symop_operation_xyz
'x,y,z'
'-x,-y,-z'
loop_
_atom_site_label
_atom_site_fract_x
_atom_site_fract_y
_atom_site_fract_z
Mg1 0.000 0.000 0.000
Mn1 0.153 0.266 0.474
Fe1 0.000 0.500 0.000
Fe2 0.500 0.000 0.000
Fe3 0.500 0.000 0.500
Fe4 0.500 0.500 0.000
O1 0.225 0.946 0.232
O2 0.235 0.445 0.212
O3 0.257 0.062 0.756
O4 0.273 0.572 0.818
```

---

# MgMn4FeO8
Calculated powder XRD pattern, CuKα. Input: DFT lattice parameters and positions (GGA+U).

Principal peaks in the range 2θ = 15–90°, by angle:
d/Å  I/Imax  (hkl)
5.106  100  0 0 1
4.893  21  1 1 0
2.715  32  4 0 -1
2.553  24  0 0 2
2.498  46  2 2 -1
2.308  54  4 0 0
2.085  81  2 2 -2
1.560  23  2 2 2
1.535  39  6 2 -2
1.443  23  0 4 0

Atomic structure:
```
data_MgMn4FeO8
_chemical_formula_sum 'Mg2 Mn8 Fe2 O16'
_cell_length_a 10.910
_cell_length_b 5.770
_cell_length_c 6.035
_cell_angle_alpha 90.00
_cell_angle_beta 122.21
_cell_angle_gamma 90.00
_space_group_name_H-M_alt 'C 1 m 1'
_space_group_IT_number 8
loop_
_space_group_symop_operation_xyz
'x,y,z'
'x,-y,z'
'x+1/2,y+1/2,z'
'x+1/2,-y+1/2,z'
loop_
_atom_site_label
_atom_site_fract_x
_atom_site_fract_y
_atom_site_fract_z
Mg1 0.000 0.000 0.000
Mn1 0.155 0.500 0.942
Mn2 0.200 0.000 0.523
Mn3 0.411 0.247 0.424
Fe1 0.155 0.500 0.439
O1 0.153 0.261 0.669
O2 0.159 0.242 0.224
O3 0.378 0.500 0.615
O4 0.395 0.500 0.190
O5 0.421 0.000 0.659
O6 0.444 0.000 0.249
```

---

# MgMn4FeO8
Calculated powder XRD pattern, CuKα. Input: DFT lattice parameters and positions (GGA+U).

Principal peaks in the range 2θ = 15–90°, by angle:
d/Å  I/Imax  (hkl)
5.008  100  0 1 -1
4.948  34  1 0 0
2.712  18  0 1 1
2.529  20  0 0 2
2.505  25  0 2 -2
2.262  71  0 2 0
2.173  62  2 0 -2
2.041  54  2 -2 2
1.564  18  -2 2 2
1.514  18  0 2 -4

Atomic structure:
```
data_MgMn4FeO8
_chemical_formula_sum 'Mg1 Mn4 Fe1 O8'
_cell_length_a 5.863
_cell_length_b 6.041
_cell_length_c 6.069
_cell_angle_alpha 117.67
_cell_angle_beta 93.59
_cell_angle_gamma 116.28
_space_group_name_H-M_alt 'P 1'
_space_group_IT_number 1
loop_
_space_group_symop_operation_xyz
'x,y,z'
loop_
_atom_site_label
_atom_site_fract_x
_atom_site_fract_y
_atom_site_fract_z
Mg1 0.000 0.000 0.000
Mn1 0.456 0.996 0.519
Mn2 0.468 0.521 0.016
Mn3 0.950 0.484 0.500
Mn4 0.955 0.493 0.010
Fe1 0.957 0.997 0.510
O1 0.177 0.480 0.786
O2 0.177 0.926 0.247
O3 0.187 0.458 0.218
O4 0.210 0.970 0.728
O5 0.689 0.012 0.300
O6 0.732 0.512 0.231
O7 0.732 0.537 0.804
O8 0.740 0.065 0.782
```

---

# Mg6MnFeO8
Calculated powder XRD pattern, CuKα. Input: DFT lattice parameters and positions (GGA+U).

Principal peaks in the range 2θ = 15–90°, by angle:
d/Å  I/Imax  (hkl)
4.336  9  0 0 2
4.301  17  1 0 0
3.054  15  1 0 2
2.490  37  1 1 2
2.168  51  0 0 4
2.151  100  2 0 0
1.527  58  2 0 4
1.521  28  2 2 0
1.298  12  3 1 2
1.245  26  2 2 4

Atomic structure:
```
data_Mg6MnFeO8
_chemical_formula_sum 'Mg6 Mn1 Fe1 O8'
_cell_length_a 4.301
_cell_length_b 4.301
_cell_length_c 8.672
_cell_angle_alpha 90.00
_cell_angle_beta 90.00
_cell_angle_gamma 90.00
_space_group_name_H-M_alt 'P 4/m m m'
_space_group_IT_number 123
_space_group_name_Hall '-P 4 2'
loop_
_atom_site_label
_atom_site_fract_x
_atom_site_fract_y
_atom_site_fract_z
Mg1 0.000 0.000 0.000
Mg2 0.000 0.000 0.500
Mg3 0.000 0.500 0.249
Mn1 0.500 0.500 0.500
Fe1 0.500 0.500 0.000
O1 0.000 0.000 0.249
O2 0.000 0.500 0.000
O3 0.000 0.500 0.500
O4 0.500 0.500 0.248
```

---

# Mg6MnFeO8
Calculated powder XRD pattern, CuKα. Input: DFT lattice parameters and positions (GGA+U).

Principal peaks in the range 2θ = 15–90°, by angle:
d/Å  I/Imax  (hkl)
4.324  9  0 0 2
3.038  7  1 1 0
2.866  12  1 1 1
2.486  37  1 1 2
2.162  51  0 0 4
2.148  100  2 0 0
1.524  57  2 0 4
1.519  28  2 2 0
1.296  12  3 1 2
1.243  26  2 2 4

Atomic structure:
```
data_Mg6MnFeO8
_chemical_formula_sum 'Mg6 Mn1 Fe1 O8'
_cell_length_a 4.296
_cell_length_b 4.296
_cell_length_c 8.648
_cell_angle_alpha 90.00
_cell_angle_beta 90.00
_cell_angle_gamma 90.00
_space_group_name_H-M_alt 'P 4/m m m'
_space_group_IT_number 123
_space_group_name_Hall '-P 4 2'
loop_
_atom_site_label
_atom_site_fract_x
_atom_site_fract_y
_atom_site_fract_z
Mg1 0.000 0.000 0.000
Mg2 0.000 0.500 0.246
Mg3 0.500 0.500 0.000
Mn1 0.000 0.000 0.500
Fe1 0.500 0.500 0.500
O1 0.000 0.000 0.242
O2 0.000 0.500 0.000
O3 0.000 0.500 0.500
O4 0.500 0.500 0.245
```

---

# MgMn3FeO8
Calculated powder XRD pattern, CuKα. Input: DFT lattice parameters and positions (GGA+U).

Principal peaks in the range 2θ = 15–90°, by angle:
d/Å  I/Imax  (hkl)
4.920  68  0 0 1
4.837  100  1 1 0
4.728  50  2 0 -1
2.568  29  3 1 0
2.521  51  1 1 -2
2.490  25  2 2 -1
2.143  44  4 0 0
2.066  80  2 2 -2
1.511  31  2 2 2
1.465  43  0 4 0

Atomic structure:
```
data_MgMn3FeO8
_chemical_formula_sum 'Mg2 Mn6 Fe2 O16'
_cell_length_a 10.168
_cell_length_b 5.859
_cell_length_c 5.835
_cell_angle_alpha 90.00
_cell_angle_beta 122.53
_cell_angle_gamma 90.00
_space_group_name_H-M_alt 'C 1 m 1'
_space_group_IT_number 8
loop_
_space_group_symop_operation_xyz
'x,y,z'
'x,-y,z'
'x+1/2,y+1/2,z'
'x+1/2,-y+1/2,z'
loop_
_atom_site_label
_atom_site_fract_x
_atom_site_fract_y
_atom_site_fract_z
Mg1 0.000 0.000 0.000
Mn1 0.115 0.500 0.867
Mn2 0.368 0.245 0.374
Fe1 0.114 0.500 0.375
O1 0.090 0.278 0.598
O2 0.135 0.276 0.140
O3 0.352 0.500 0.587
O4 0.356 0.000 0.575
O5 0.371 0.500 0.157
O6 0.383 0.000 0.170
```

---

# MgMn2Fe4O8
Calculated powder XRD pattern, CuKα. Input: DFT lattice parameters and positions (GGA+U).

Principal peaks in the range 2θ = 15–90°, by angle:
d/Å  I/Imax  (hkl)
3.050  72  1 -1 0
2.685  72  0 0 2
2.658  46  1 -1 1
2.647  86  -1 1 1
2.632  48  1 2 2
2.614  94  2 1 2
2.591  100  2 2 1
2.213  54  2 2 0
2.203  66  0 2 2
2.194  64  2 0 2

Atomic structure:
```
data_MgMn2Fe4O8
_chemical_formula_sum 'Mg1 Mn2 Fe4 O8'
_cell_length_a 6.035
_cell_length_b 6.096
_cell_length_c 6.359
_cell_angle_alpha 62.48
_cell_angle_beta 62.39
_cell_angle_gamma 60.44
_space_group_name_H-M_alt 'P 1'
_space_group_IT_number 1
loop_
_space_group_symop_operation_xyz
'x,y,z'
loop_
_atom_site_label
_atom_site_fract_x
_atom_site_fract_y
_atom_site_fract_z
Mg1 0.000 0.000 0.000
Mn1 0.018 0.495 0.987
Mn2 0.535 0.487 0.483
Fe1 0.184 0.129 0.539
Fe2 0.515 0.493 0.990
Fe3 0.516 0.984 0.000
Fe4 0.886 0.853 0.460
O1 0.259 0.759 0.730
O2 0.264 0.775 0.216
O3 0.267 0.226 0.745
O4 0.296 0.252 0.188
O5 0.724 0.735 0.805
O6 0.764 0.771 0.216
O7 0.776 0.244 0.227
O8 0.786 0.221 0.739
```

---

# MgMn4FeO8
Calculated powder XRD pattern, CuKα. Input: DFT lattice parameters and positions (GGA+U).

Principal peaks in the range 2θ = 15–90°, by angle:
d/Å  I/Imax  (hkl)
5.059  49  0 0 1
4.977  100  1 0 0
2.529  21  0 0 2
2.489  19  2 0 0
2.184  66  0 2 0
2.151  64  2 2 2
2.108  60  2 0 -2
1.561  18  2 0 2
1.528  17  2 2 -2
1.506  35  2 4 2

Atomic structure:
```
data_MgMn4FeO8
_chemical_formula_sum 'Mg1 Mn4 Fe1 O8'
_cell_length_a 5.995
_cell_length_b 6.023
_cell_length_c 6.055
_cell_angle_alpha 60.86
_cell_angle_beta 88.81
_cell_angle_gamma 60.21
_space_group_name_H-M_alt 'P -1'
_space_group_IT_number 2
loop_
_space_group_symop_operation_xyz
'x,y,z'
'-x,-y,-z'
loop_
_atom_site_label
_atom_site_fract_x
_atom_site_fract_y
_atom_site_fract_z
Mg1 0.000 0.000 0.000
Mn1 0.000 0.500 0.000
Mn2 0.500 0.000 0.000
Mn3 0.500 0.000 0.500
Mn4 0.500 0.500 0.500
Fe1 0.500 0.500 0.000
O1 0.257 0.013 0.218
O2 0.263 0.512 0.228
O3 0.295 0.449 0.788
O4 0.297 0.952 0.801
```

---

# MgMn3FeO8
Calculated powder XRD pattern, CuKα. Input: DFT lattice parameters and positions (GGA+U).

Principal peaks in the range 2θ = 15–90°, by angle:
d/Å  I/Imax  (hkl)
4.868  75  0 0 3
4.820  74  1 0 1
2.518  40  0 2 1
2.410  18  2 0 2
2.092  100  0 2 4
1.616  12  0 2 7
1.485  25  2 0 8
1.474  28  2 2 0
1.410  13  2 2 3
1.205  12  4 0 4

Atomic structure:
```
data_MgMn3FeO8
_chemical_formula_sum 'Mg3 Mn9 Fe3 O24'
_cell_length_a 5.8960
_cell_length_b 5.8960
_cell_length_c 14.6047
_cell_angle_alpha 90.00
_cell_angle_beta 90.00
_cell_angle_gamma 120.00
_space_group_name_H-M_alt 'R -3 m'
_space_group_IT_number 166
_space_group_name_Hall '-R 3 2"'
loop_
_atom_site_label
_atom_site_fract_x
_atom_site_fract_y
_atom_site_fract_z
Mg1 0.0000 0.0000 0.0000
Mn1 0.0000 0.5000 0.0000
Fe1 0.0000 0.0000 0.5000
O1 0.0000 0.0000 0.2658
O2 0.0248 0.5124 0.2635
```

---

# MgMn2Fe4O8
Calculated powder XRD pattern, CuKα. Input: DFT lattice parameters and positions (GGA+U).

Principal peaks in the range 2θ = 15–90°, by angle:
d/Å  I/Imax  (hkl)
5.079  26  1 0 -1
3.131  23  0 2 -1
3.041  23  2 0 -1
2.747  100  1 0 -2
2.671  53  1 -2 0
2.659  63  1 2 -2
2.625  60  2 1 -1
2.309  26  0 0 2
1.591  25  2 2 0
1.565  26  0 4 -2

Atomic structure:
```
data_MgMn2Fe4O8
_chemical_formula_sum 'Mg1 Mn2 Fe4 O8'
_cell_length_a 6.082
_cell_length_b 6.262
_cell_length_c 6.326
_cell_angle_alpha 119.14
_cell_angle_beta 118.57
_cell_angle_gamma 90.17
_space_group_name_H-M_alt 'P 1'
_space_group_IT_number 1
loop_
_space_group_symop_operation_xyz
'x,y,z'
loop_
_atom_site_label
_atom_site_fract_x
_atom_site_fract_y
_atom_site_fract_z
Mg1 0.000 0.000 0.000
Mn1 0.289 0.311 0.585
Mn2 0.950 0.457 0.905
Fe1 0.082 0.819 0.604
Fe2 0.520 0.823 0.607
Fe3 0.601 0.874 0.205
Fe4 0.602 0.359 0.211
O1 0.362 0.603 0.175
O2 0.385 0.120 0.779
O3 0.386 0.693 0.774
O4 0.387 0.141 0.258
O5 0.807 0.602 0.172
O6 0.832 0.624 0.665
O7 0.833 0.063 0.671
O8 0.865 0.140 0.254
```

---

# MgMn2Fe4O8
Calculated powder XRD pattern, CuKα. Input: DFT lattice parameters and positions (GGA+U).

Principal peaks in the range 2θ = 15–90°, by angle:
d/Å  I/Imax  (hkl)
5.592  100  0 0 1
5.319  46  0 1 0
3.386  60  1 -1 1
3.373  60  1 1 0
3.173  59  0 1 -2
3.160  61  1 0 -2
2.627  52  1 -2 0
2.615  45  1 2 -2
2.603  44  -2 1 1
2.591  44  2 1 -2

Atomic structure:
```
data_MgMn2Fe4O8
_chemical_formula_sum 'Mg1 Mn2 Fe4 O8'
_cell_length_a 5.953
_cell_length_b 6.047
_cell_length_c 7.011
_cell_angle_alpha 115.37
_cell_angle_beta 114.95
_cell_angle_gamma 90.35
_space_group_name_H-M_alt 'P 1'
_space_group_IT_number 1
loop_
_space_group_symop_operation_xyz
'x,y,z'
loop_
_atom_site_label
_atom_site_fract_x
_atom_site_fract_y
_atom_site_fract_z
Mg1 0.000 0.000 0.000
Mn1 0.218 0.756 0.511
Mn2 0.466 0.509 0.013
Fe1 0.406 0.193 0.383
Fe2 0.771 0.578 0.653
Fe3 0.774 0.088 0.662
Fe4 0.880 0.173 0.346
O1 0.028 0.352 0.695
O2 0.051 0.865 0.724
O3 0.099 0.925 0.272
O4 0.100 0.348 0.271
O5 0.568 0.368 0.730
O6 0.597 0.365 0.277
O7 0.597 0.916 0.280
O8 0.622 0.881 0.759
```

---

# MgMn2Fe4O8
Calculated powder XRD pattern, CuKα. Input: DFT lattice parameters and positions (GGA+U).

Principal peaks in the range 2θ = 15–90°, by angle:
d/Å  I/Imax  (hkl)
2.911  100  1 0 1
2.867  86  1 0 -2
2.621  42  1 -2 1
2.609  44  1 -2 0
2.596  75  1 2 -1
2.586  75  1 2 -2
2.572  75  2 1 -1
2.482  44  0 0 2
1.919  45  0 2 1
1.514  42  0 4 -2

Atomic structure:
```
data_MgMn2Fe4O8
_chemical_formula_sum 'Mg1 Mn2 Fe4 O8'
_cell_length_a 5.936
_cell_length_b 6.056
_cell_length_c 6.472
_cell_angle_alpha 117.59
_cell_angle_beta 116.02
_cell_angle_gamma 90.68
_space_group_name_H-M_alt 'P 1'
_space_group_IT_number 1
loop_
_space_group_symop_operation_xyz
'x,y,z'
loop_
_atom_site_label
_atom_site_fract_x
_atom_site_fract_y
_atom_site_fract_z
Mg1 0.000 0.000 0.000
Mn1 0.423 0.681 0.823
Mn2 0.429 0.172 0.836
Fe1 0.055 0.553 0.082
Fe2 0.476 0.216 0.409
Fe3 0.740 0.747 0.470
Fe4 0.941 0.232 0.423
O1 0.120 0.869 0.739
O2 0.153 0.373 0.279
O3 0.168 0.928 0.294
O4 0.196 0.436 0.838
O5 0.630 0.875 0.743
O6 0.648 0.382 0.282
O7 0.661 0.937 0.297
O8 0.681 0.442 0.838
```